Entry 1:
Calculated PXRD pattern of TbNi4B for Cu Ka, from the PBE geometry in the Materials Project.
No peak broadening, texture or thermal motion is included.

Crystal structure
Cell lengths 4.974, 4.974, 6.958 Å; angles 90.00, 90.00, 120.00 degrees
Sites, in units of the cell vectors:
Tb 0.000 0.000 0.000
Tb 0.000 0.000 0.500
Ni 0.000 0.500 0.208
Ni 0.000 0.500 0.792
Ni 0.333 0.667 0.500
Ni 0.500 0.000 0.208
Ni 0.500 0.000 0.792
Ni 0.500 0.500 0.208
Ni 0.500 0.500 0.792
Ni 0.667 0.333 0.500
B 0.333 0.667 0.000
B 0.667 0.333 0.000

Peak list (12 most intense, 10 to 80 degrees two-theta, by intensity)
- 2.023 Å, rel. 100
- 2.706 Å, rel. 89
- 2.154 Å, rel. 74
- 2.487 Å, rel. 31
- 1.475 Å, rel. 28
- 1.327 Å, rel. 24
- 1.243 Å, rel. 21
- 1.353 Å, rel. 15
- 1.425 Å, rel. 15
- 1.739 Å, rel. 13
- 4.308 Å, rel. 13
- 2.319 Å, rel. 12

***

Entry 2:
Calculated PXRD pattern of TbNi12B6 for Cu Ka, from the PBE geometry in the Materials Project.
No peak broadening, texture or thermal motion is included.

Crystal structure
Cell lengths 5.989, 5.989, 5.989 Å; angles 104.37, 104.37, 104.37 degrees
Sites, in units of the cell vectors:
Tb 0.000 0.000 0.000
Ni 0.131 0.500 0.869
Ni 0.131 0.869 0.500
Ni 0.188 0.453 0.453
Ni 0.453 0.188 0.453
Ni 0.453 0.453 0.188
Ni 0.500 0.131 0.869
Ni 0.500 0.869 0.131
Ni 0.547 0.547 0.812
Ni 0.547 0.812 0.547
Ni 0.812 0.547 0.547
Ni 0.869 0.131 0.500
Ni 0.869 0.500 0.131
B 0.234 0.234 0.668
B 0.234 0.668 0.234
B 0.332 0.766 0.766
B 0.668 0.234 0.234
B 0.766 0.332 0.766
B 0.766 0.766 0.332

Peak list (12 most intense, 10 to 80 degrees two-theta, by intensity)
- 2.172 Å, rel. 100
- 2.735 Å, rel. 70
- 2.178 Å, rel. 58
- 1.934 Å, rel. 22
- 1.825 Å, rel. 21
- 1.497 Å, rel. 20
- 1.577 Å, rel. 20
- 2.855 Å, rel. 13
- 1.445 Å, rel. 13
- 1.224 Å, rel. 9
- 1.790 Å, rel. 9
- 1.236 Å, rel. 9

***

Entry 3:
Calculated PXRD pattern of Tb2NiB10 for Cu Ka, from the PBE geometry in the Materials Project.
No peak broadening, texture or thermal motion is included.

Crystal structure
Cell lengths 5.559, 11.101, 4.147 Å; angles 90.00, 90.00, 90.00 degrees
Sites, in units of the cell vectors:
Tb 0.193 0.136 0.000
Tb 0.307 0.636 0.000
Tb 0.693 0.364 0.000
Tb 0.807 0.864 0.000
Ni 0.000 0.500 0.500
Ni 0.500 0.000 0.500
B 0.036 0.312 0.500
B 0.125 0.959 0.500
B 0.154 0.803 0.500
B 0.204 0.386 0.199
B 0.204 0.386 0.801
B 0.296 0.886 0.199
B 0.296 0.886 0.801
B 0.346 0.303 0.500
B 0.375 0.459 0.500
B 0.464 0.812 0.500
B 0.536 0.188 0.500
B 0.625 0.541 0.500
B 0.654 0.697 0.500
B 0.704 0.114 0.199
B 0.704 0.114 0.801
B 0.796 0.614 0.199
B 0.796 0.614 0.801
B 0.846 0.197 0.500
B 0.875 0.041 0.500
B 0.964 0.688 0.500

Peak list (12 most intense, 10 to 80 degrees two-theta, by intensity)
- 2.852 Å, rel. 100
- 2.307 Å, rel. 78
- 3.928 Å, rel. 70
- 4.147 Å, rel. 29
- 1.834 Å, rel. 28
- 2.777 Å, rel. 27
- 3.184 Å, rel. 24
- 1.964 Å, rel. 19
- 2.073 Å, rel. 18
- 2.261 Å, rel. 17
- 1.617 Å, rel. 16
- 1.340 Å, rel. 14

***

Entry 4:
Calculated PXRD pattern of TbNiB4 for Cu Ka, from the PBE geometry in the Materials Project.
No peak broadening, texture or thermal motion is included.

Crystal structure
Cell lengths 6.834, 6.834, 6.834 Å; angles 112.93, 112.93, 102.76 degrees
Sites, in units of the cell vectors:
Tb 0.203 0.203 0.000
Tb 0.250 0.750 0.500
Tb 0.750 0.250 0.500
Tb 0.797 0.797 0.000
Ni 0.272 0.500 0.772
Ni 0.500 0.272 0.772
Ni 0.500 0.728 0.228
Ni 0.728 0.500 0.228
B 0.112 0.275 0.387
B 0.112 0.725 0.836
B 0.114 0.114 0.532
B 0.114 0.581 0.000
B 0.275 0.112 0.387
B 0.275 0.888 0.164
B 0.419 0.419 0.532
B 0.419 0.886 0.000
B 0.581 0.114 0.000
B 0.581 0.581 0.468
B 0.725 0.112 0.836
B 0.725 0.888 0.613
B 0.886 0.419 0.000
B 0.886 0.886 0.468
B 0.888 0.275 0.164
B 0.888 0.725 0.613

Peak list (12 most intense, 10 to 80 degrees two-theta, by intensity)
- 2.263 Å, rel. 100
- 2.827 Å, rel. 84
- 3.776 Å, rel. 75
- 1.887 Å, rel. 42
- 2.661 Å, rel. 29
- 1.570 Å, rel. 26
- 1.323 Å, rel. 24
- 3.140 Å, rel. 21
- 2.670 Å, rel. 20
- 1.334 Å, rel. 20
- 1.688 Å, rel. 20
- 1.857 Å, rel. 16